The following is a theoretical powder diffraction line list of Sr2CaI6. It was derived from a cell relaxed with PBE, using Cu Kα (weighted mean of Kα1 and Kα2).
Peak positions follow from Bragg's law for the DFT cell and can differ from measured ones.

Peak list (8 most intense, 10° ≤ 2θ ≤ 80°, low angle first)
- hkl 1 3 -2, 22.27°, d 3.991, rel. 775
- hkl 1 1 -3, 24.70°, d 3.604, rel. 250
- hkl 1 0 2, 26.06°, d 3.419, rel. 308
- hkl 2 3 0, 26.38°, d 3.379, rel. 927
- hkl 3 0 -2, 26.75°, d 3.332, rel. 298
- hkl 1 3 2, 30.56°, d 2.926, rel. 554
- hkl 3 3 -2, 31.16°, d 2.871, rel. 482
- hkl 0 6 0, 31.70°, d 2.823, rel. 1000

Crystal structure
Cell: 10.0157 16.9595 11.2769 Å, 90.00 122.71 90.00°
Positions (direct):
Sr: 0.1878 0.0786 0.2341
Sr: 0.1878 0.4214 0.7341
Sr: 0.2358 0.7460 0.7193
Sr: 0.2358 0.7540 0.2193
Sr: 0.7642 0.2460 0.7807
Sr: 0.7642 0.2540 0.2807
Sr: 0.8122 0.5786 0.2659
Sr: 0.8122 0.9214 0.7659
Ca: 0.3319 0.0937 0.7945
Ca: 0.3319 0.4063 0.2945
Ca: 0.6681 0.5937 0.7055
Ca: 0.6681 0.9063 0.2055
I: 0.0535 0.7309 0.3833
I: 0.0535 0.7691 0.8833
I: 0.0748 0.0797 0.8906
I: 0.0748 0.4203 0.3906
I: 0.0908 0.1018 0.4659
I: 0.0908 0.3982 0.9659
I: 0.4001 0.5871 0.3738
I: 0.4001 0.9129 0.8738
I: 0.4250 0.5735 0.8085
I: 0.4250 0.9265 0.3085
I: 0.4505 0.2288 0.3354
I: 0.4505 0.2712 0.8354
I: 0.5495 0.7288 0.1646
I: 0.5495 0.7712 0.6646
I: 0.5750 0.0735 0.6915
I: 0.5750 0.4265 0.1915
I: 0.5999 0.0871 0.1262
I: 0.5999 0.4129 0.6262
I: 0.9092 0.6018 0.0341
I: 0.9092 0.8982 0.5341
I: 0.9252 0.5797 0.6094
I: 0.9252 0.9203 0.1094
I: 0.9465 0.2309 0.1167
I: 0.9465 0.2691 0.6167